# Te2Pd3Pb2
Computed PXRD pattern, λ = 1.5418 Å (Cu Kα). Input: a cell relaxed with PBE.

Atomic structure:
Cell: 6.007 8.717 6.568 Å, 90.00 90.00 90.00°
Space group Pmmn (No. 59, origin choice 2)
Inequivalent atoms, fractional coordinates:
Te1 0.250 0.041 0.175 [4 per cell]
Pd1 0.000 0.000 0.500 [4 per cell]
Pd2 0.250 0.750 0.295 [2 per cell]
Pb1 0.250 0.250 0.702 [2 per cell]
Pb2 0.250 0.750 0.752 [2 per cell]

Top 8 peaks for 2θ from 15° to 90°, in order of rising 2θ:
h k l, Position (°2θ), d (Å), I_rel
1 2 1, 28.73, 3.108, 100
0 2 2, 34.21, 2.621, 52
2 2 0, 36.33, 2.473, 31
2 2 1, 38.91, 2.314, 31
2 0 2, 40.71, 2.216, 57
0 4 0, 41.44, 2.179, 30
0 2 3, 46.42, 1.956, 29
2 4 2, 59.49, 1.554, 31

=====

# TbYZnCu
Computed PXRD pattern, λ = 1.5418 Å (Cu Kα). Input: a cell relaxed with PBE.

Atomic structure:
Cell: 3.529 3.529 7.088 Å, 90.00 90.00 90.00°
Space group P4mm (No. 99)
Inequivalent atoms, fractional coordinates:
Tb1 0.000 0.000 0.000 [1 per cell]
Y1 0.000 0.000 0.487 [1 per cell]
Zn1 0.500 0.500 0.744 [1 per cell]
Cu1 0.500 0.500 0.241 [1 per cell]

Top 8 peaks for 2θ from 15° to 90°, in order of rising 2θ:
h k l, Position (°2θ), d (Å), I_rel
1 0 0, 25.24, 3.529, 6
1 1 0, 35.94, 2.499, 100
0 0 4, 51.58, 1.772, 6
2 0 0, 51.82, 1.764, 11
1 1 4, 64.50, 1.445, 11
2 1 2, 64.66, 1.442, 23
2 0 4, 76.14, 1.250, 7
3 1 0, 87.37, 1.116, 10